Record 1
Diffraction record for LaCrRe2. The powder diffractogram is computed, not measured: it uses DFT lattice parameters and positions (PBE) and λ = 1.5418 Å (Cu Kα).
Neutral-atom scattering factors, no anomalous dispersion.

Cell and atoms:
a b c (Å): 2.8089 2.8089 9.4086
angles (deg): 90.00 90.00 112.91
Fractional positions:
La  0.0000  0.0000  0.0000
Cr  0.0000  0.0000  0.5000
Re  0.5000  0.5000  0.2929
Re  0.5000  0.5000  0.7071

Main lines, sorted by position (2θ = 10–90°):
2theta  I (rel.)
28.46  29
36.00  17
38.45  33
39.76  100
60.87  22
70.43  18

=====

Record 2
Diffraction record for Mn2Sn2Pd7. The powder diffractogram is computed, not measured: it uses DFT lattice parameters and positions (PBE) and λ = 1.5418 Å (Cu Kα).
Neutral-atom scattering factors, no anomalous dispersion.

Cell and atoms:
a b c (Å): 6.4162 6.4162 4.8056
angles (deg): 95.49 95.49 79.43
Fractional positions:
Mn  0.2390  0.2390  0.2527
Mn  0.7610  0.7610  0.7473
Sn  0.2901  0.7099  0.5000
Sn  0.7099  0.2901  0.5000
Pd  0.0501  0.0501  0.7694
Pd  0.1045  0.4568  0.7607
Pd  0.4568  0.1045  0.7607
Pd  0.5000  0.5000  0.0000
Pd  0.5432  0.8955  0.2393
Pd  0.8955  0.5432  0.2393
Pd  0.9499  0.9499  0.2306

Main lines, sorted by position (2θ = 10–90°):
2theta  I (rel.)
28.72  38
35.43  65
36.70  64
39.66  73
44.25  37
45.89  100

=====

Record 3
Diffraction record for Cd8Hg. The powder diffractogram is computed, not measured: it uses DFT lattice parameters and positions (PBE) and λ = 1.5418 Å (Cu Kα).
Neutral-atom scattering factors, no anomalous dispersion.

Cell and atoms:
a b c (Å): 7.1265 7.1265 7.1265
angles (deg): 95.68 95.68 143.32
Fractional positions:
Cd  0.0000  0.3343  0.3343
Cd  0.0000  0.6657  0.6657
Cd  0.3322  0.3322  0.6645
Cd  0.3322  0.6678  0.0000
Cd  0.3343  0.0000  0.3343
Cd  0.6657  0.0000  0.6657
Cd  0.6678  0.3322  0.0000
Cd  0.6678  0.6678  0.3355
Hg  0.0000  0.0000  0.0000

Main lines, sorted by position (2θ = 10–90°):
2theta  I (rel.)
34.51  100
39.98  33
40.22  16
58.01  21
69.12  25
69.44  12

=====

Record 4
Diffraction record for TlHg4Cl8. The powder diffractogram is computed, not measured: it uses DFT lattice parameters and positions (PBE) and λ = 1.5418 Å (Cu Kα).
Neutral-atom scattering factors, no anomalous dispersion.

Cell and atoms:
a b c (Å): 7.8696 8.2231 8.4474
angles (deg): 111.64 92.13 110.60
Fractional positions:
Tl  0.0000  0.0000  0.0000
Hg  0.4414  0.7177  0.0162
Hg  0.4560  0.7362  0.5161
Hg  0.5440  0.2638  0.4839
Hg  0.5586  0.2823  0.9838
Cl  0.2771  0.7930  0.8180
Cl  0.2846  0.3056  0.8573
Cl  0.2920  0.8125  0.3077
Cl  0.2996  0.3218  0.3389
Cl  0.7004  0.6782  0.6611
Cl  0.7080  0.1875  0.6923
Cl  0.7154  0.6944  0.1427
Cl  0.7229  0.2070  0.1820

Main lines, sorted by position (2θ = 10–90°):
2theta  I (rel.)
12.24  100
23.09  43
23.39  43
25.35  32
32.42  31
38.50  30

=====

Record 5
Diffraction record for Rb2NaTe2O6. The powder diffractogram is computed, not measured: it uses DFT lattice parameters and positions (PBE) and λ = 1.5418 Å (Cu Kα).
Neutral-atom scattering factors, no anomalous dispersion.

Cell and atoms:
a b c (Å): 6.3161 6.3161 8.6312
angles (deg): 111.43 111.43 61.72
Fractional positions:
Rb  0.2362  0.2362  0.1806
Rb  0.7638  0.7638  0.8194
Na  0.5000  0.5000  0.0000
Te  0.0680  0.0680  0.7228
Te  0.9320  0.9320  0.2772
O  0.2250  0.7679  0.2034
O  0.2321  0.7750  0.7966
O  0.2558  0.2558  0.8577
O  0.7442  0.7442  0.1423
O  0.7679  0.2250  0.2034
O  0.7750  0.2321  0.7966

Main lines, sorted by position (2θ = 10–90°):
2theta  I (rel.)
16.39  100
16.76  52
22.77  69
27.53  49
28.27  90
31.26  95

=====

Record 6
Diffraction record for AsBr3F. The powder diffractogram is computed, not measured: it uses DFT lattice parameters and positions (PBE) and λ = 1.5418 Å (Cu Kα).
Neutral-atom scattering factors, no anomalous dispersion.

Cell and atoms:
a b c (Å): 9.9737 3.5512 8.3200
angles (deg): 90.00 90.00 90.00
Fractional positions:
As  0.2500  0.0000  0.2454
As  0.7500  0.0000  0.7546
Br  0.0550  0.5000  0.2377
Br  0.2500  0.0000  0.8998
Br  0.4450  0.5000  0.2377
Br  0.5550  0.5000  0.7623
Br  0.7500  0.0000  0.1002
Br  0.9450  0.5000  0.7623
F  0.2500  0.0000  0.4610
F  0.7500  0.0000  0.5390

Main lines, sorted by position (2θ = 10–90°):
2theta  I (rel.)
13.86  60
21.36  53
30.91  100
33.54  33
38.64  35
49.93  42

=====

Record 7
Diffraction record for Pr3SmMg2. The powder diffractogram is computed, not measured: it uses DFT lattice parameters and positions (PBE) and λ = 1.5418 Å (Cu Kα).
Neutral-atom scattering factors, no anomalous dispersion.

Cell and atoms:
a b c (Å): 3.8304 3.8304 13.0168
angles (deg): 90.00 90.00 90.00
Fractional positions:
Pr  0.0000  0.0000  0.0000
Pr  0.0000  0.0000  0.3071
Pr  0.0000  0.0000  0.6929
Sm  0.5000  0.5000  0.5000
Mg  0.5000  0.5000  0.1528
Mg  0.5000  0.5000  0.8472

Main lines, sorted by position (2θ = 10–90°):
2theta  I (rel.)
23.22  15
27.01  17
31.15  100
33.07  48
47.47  17
57.87  34

=====

Record 8
Diffraction record for BaSrLa4Be2O10. The powder diffractogram is computed, not measured: it uses DFT lattice parameters and positions (PBE) and λ = 1.5418 Å (Cu Kα).
Neutral-atom scattering factors, no anomalous dispersion.

Cell and atoms:
a b c (Å): 6.7824 7.4835 9.8851
angles (deg): 90.00 90.70 90.00
Fractional positions:
Ba  0.0810  0.0000  0.3240
Ba  0.9190  0.5000  0.6760
Sr  0.4156  0.0060  0.8250
Sr  0.5844  0.5060  0.1750
La  0.0760  0.5437  0.3231
La  0.0927  0.2687  0.0212
La  0.4099  0.2690  0.5222
La  0.4349  0.5612  0.8332
La  0.5651  0.0612  0.1668
La  0.5901  0.7690  0.4778
La  0.9073  0.7687  0.9788
La  0.9240  0.0437  0.6769
Be  0.1966  0.7749  0.6035
Be  0.3142  0.7696  0.0976
Be  0.6858  0.2696  0.9024
Be  0.8034  0.2749  0.3965
O  0.0160  0.2743  0.4849
O  0.1399  0.7846  0.7717
O  0.1483  0.2408  0.7835
O  0.1938  0.5842  0.0578
O  0.2045  0.9615  0.0646
O  0.3135  0.9600  0.5659
O  0.3185  0.5850  0.5770
O  0.3404  0.2760  0.2738
O  0.3741  0.7628  0.2671
O  0.4781  0.2738  0.9895
O  0.5219  0.7738  0.0105
O  0.6259  0.2628  0.7329
O  0.6596  0.7760  0.7262
O  0.6815  0.0850  0.4230
O  0.6865  0.4600  0.4341
O  0.7955  0.4615  0.9354
O  0.8062  0.0842  0.9422
O  0.8517  0.7408  0.2165
O  0.8601  0.2846  0.2283
O  0.9840  0.7743  0.5151

Main lines, sorted by position (2θ = 10–90°):
2theta  I (rel.)
26.28  22
28.66  34
28.76  45
29.98  100
30.28  65
43.89  25

=====

Record 9
Diffraction record for KHg2Se2. The powder diffractogram is computed, not measured: it uses DFT lattice parameters and positions (PBE) and λ = 1.5418 Å (Cu Kα).
Neutral-atom scattering factors, no anomalous dispersion.

Cell and atoms:
a b c (Å): 8.3119 8.3119 3.8483
angles (deg): 90.00 90.00 90.00
Fractional positions:
K  0.0000  0.0000  0.0000
K  0.5000  0.5000  0.0000
Hg  0.1413  0.3587  0.5000
Hg  0.3587  0.8587  0.5000
Hg  0.6413  0.1413  0.5000
Hg  0.8587  0.6413  0.5000
Se  0.1629  0.6629  0.0000
Se  0.3371  0.1629  0.0000
Se  0.6629  0.8371  0.0000
Se  0.8371  0.3371  0.0000

Main lines, sorted by position (2θ = 10–90°):
2theta  I (rel.)
15.07  23
23.94  21
33.52  100
34.11  32
59.54  13
65.11  21

=====

Record 10
Diffraction record for Pm12ErTm7. The powder diffractogram is computed, not measured: it uses DFT lattice parameters and positions (PBE) and λ = 1.5418 Å (Cu Kα).
Neutral-atom scattering factors, no anomalous dispersion.

Cell and atoms:
a b c (Å): 11.4813 11.4813 11.4813
angles (deg): 116.88 116.88 116.88
Fractional positions:
Pm  0.0000  0.4132  0.5868
Pm  0.0000  0.5868  0.4132
Pm  0.0864  0.0864  0.4389
Pm  0.0864  0.4389  0.0864
Pm  0.4132  0.0000  0.5868
Pm  0.4132  0.5868  0.0000
Pm  0.4389  0.0864  0.0864
Pm  0.5611  0.9136  0.9136
Pm  0.5868  0.0000  0.4132
Pm  0.5868  0.4132  0.0000
Pm  0.9136  0.5611  0.9136
Pm  0.9136  0.9136  0.5611
Er  0.5000  0.5000  0.5000
Tm  0.0000  0.0000  0.0000
Tm  0.1312  0.3741  0.3741
Tm  0.3741  0.1312  0.3741
Tm  0.3741  0.3741  0.1312
Tm  0.6259  0.6259  0.8688
Tm  0.6259  0.8688  0.6259
Tm  0.8688  0.6259  0.6259

Main lines, sorted by position (2θ = 10–90°):
2theta  I (rel.)
27.35  41
30.10  100
30.90  40
32.83  47
33.01  46
39.55  40